Structure and theoretical powder diffractogram of Cs3Pm3HfO8 (a DFT-relaxed cell (GGA-PBE, Alexandria); Cu Kα (weighted mean of Kα1 and Kα2)).
Intensities are scaled so that the largest is 100.

Crystal structure
Lattice parameters (Å, degrees): 8.1180 8.1180 8.1180 51.95 51.95 51.95
Atoms (fractional coordinates):
Cs 0.0000 0.5000 0.5000
Cs 0.5000 0.0000 0.5000
Cs 0.5000 0.5000 0.0000
Pm 0.0000 0.0000 0.5000
Pm 0.0000 0.5000 0.0000
Pm 0.5000 0.0000 0.0000
Hf 0.5000 0.5000 0.5000
O 0.2212 0.2212 0.2212
O 0.2512 0.7024 0.7024
O 0.2976 0.2976 0.7488
O 0.2976 0.7488 0.2976
O 0.7024 0.2512 0.7024
O 0.7024 0.7024 0.2512
O 0.7488 0.2976 0.2976
O 0.7788 0.7788 0.7788

Top 10 peaks for 15° ≤ 2θ ≤ 90°, low angle first:
| 2theta | I (rel.) |
| --- | --- |
| 25.4 | 52 |
| 30.2 | 86 |
| 33.7 | 100 |
| 45.4 | 37 |
| 51.4 | 31 |
| 52.7 | 25 |
| 58.2 | 32 |
| 62.9 | 16 |
| 76.3 | 14 |
| 85.4 | 14 |